Entry 1:
Theoretical powder diffraction line list
Compound: NaCo2HSe2O7
Radiation: CuKα
Structure: a cell relaxed with GGA+U
Intensities are scaled so that the largest is 100.

Main lines, by intensity (15 to 90 degrees two-theta):
h k l, 2θ (°), I_rel
4 1 1, 32.27, 100
2 1 1, 22.35, 70
1 1 2, 26.53, 65
3 2 1, 37.27, 62
0 1 3, 35.10, 54
1 2 1, 31.93, 52
0 1 1, 17.95, 50
2 0 2, 24.91, 46
4 0 1, 28.65, 45
4 2 4, 60.01, 43

Crystal structure
Cell lengths 13.4072, 6.0936, 8.4508 Å; angles 90.00, 90.00, 90.00 degrees
Space group Pnma (No. 62)
Inequivalent atoms, fractional coordinates:
1 Na 0.2487 0.2500 0.1274 [4 per cell]
2 Co 0.0000 0.0000 0.0000 [4 per cell]
3 Co 0.1131 0.7500 0.2870 [4 per cell]
4 H 0.1635 0.7500 0.9752 [4 per cell]
5 Se 0.0250 0.2500 0.3794 [4 per cell]
6 Se 0.1709 0.2500 0.7754 [4 per cell]
7 O 0.0136 0.0272 0.2510 [8 per cell]
8 O 0.0905 0.7500 0.5300 [4 per cell]
9 O 0.1030 0.7500 0.0406 [4 per cell]
10 O 0.1078 0.2500 0.9598 [4 per cell]
11 O 0.2441 0.5396 0.3042 [8 per cell]

---

Entry 2:
Theoretical powder diffraction line list
Compound: Na2CoH4Se2O10
Radiation: CuKα
Structure: a cell relaxed with GGA+U
Intensities are scaled so that the largest is 100.

Main lines, by intensity (15 to 90 degrees two-theta):
h k l, 2θ (°), I_rel
0 1 -1, 17.20, 100
-1 1 1, 22.00, 54
1 0 0, 15.40, 53
1 1 0, 23.79, 34
-2 2 1, 37.68, 34
1 0 -2, 28.74, 33
1 0 2, 33.17, 32
1 1 1, 29.86, 26
0 2 0, 27.87, 26
2 0 0, 31.09, 20

Crystal structure
Cell lengths 6.0872, 6.8211, 6.8337 Å; angles 99.14, 96.07, 106.74 degrees
Space group P-1 (No. 2)
Inequivalent atoms, fractional coordinates:
1 Na 0.1029 0.1997 0.2574 [2 per cell]
2 Co 0.5000 0.0000 0.5000 [1 per cell]
3 H 0.4028 0.1592 0.9737 [2 per cell]
4 H 0.4170 0.6522 0.8819 [2 per cell]
5 Se 0.0292 0.3257 0.7664 [2 per cell]
6 O 0.0902 0.7776 0.0481 [2 per cell]
7 O 0.1812 0.1211 0.7068 [2 per cell]
8 O 0.1866 0.7318 0.4323 [2 per cell]
9 O 0.3231 0.1852 0.5513 [2 per cell]
10 O 0.4426 0.2337 0.1143 [2 per cell]

---

Entry 3:
Theoretical powder diffraction line list
Compound: CoHO2
Radiation: CuKα
Structure: a cell relaxed with GGA+U
Intensities are scaled so that the largest is 100.

Main lines, by intensity (15 to 90 degrees two-theta):
h k l, 2θ (°), I_rel
1 0 0, 19.67, 100
1 1 2, 35.31, 30
0 2 0, 36.97, 25
1 1 -2, 38.43, 21
2 1 2, 46.28, 18
1 -2 0, 48.56, 15
2 1 -2, 50.43, 14
1 3 -2, 63.32, 9
0 0 4, 61.60, 9
1 3 2, 59.73, 8

Crystal structure
Cell lengths 4.8602, 5.2307, 6.0458 Å; angles 86.49, 85.45, 68.49 degrees
Space group P-1 (No. 2)
Inequivalent atoms, fractional coordinates:
1 Co 0.0020 0.2412 0.3776 [2 per cell]
2 Co 0.0023 0.2536 0.8750 [2 per cell]
3 H 0.4554 0.7645 0.8803 [2 per cell]
4 H 0.4614 0.2591 0.6322 [2 per cell]
5 O 0.2132 0.3518 0.1327 [2 per cell]
6 O 0.2213 0.8325 0.3761 [2 per cell]
7 O 0.2236 0.8489 0.8812 [2 per cell]
8 O 0.2268 0.3374 0.6289 [2 per cell]

---

Entry 4:
Theoretical powder diffraction line list
Compound: CoHO2
Radiation: CuKα
Structure: a cell relaxed with GGA+U
Intensities are scaled so that the largest is 100.

Main lines, by intensity (15 to 90 degrees two-theta):
h k l, 2θ (°), I_rel
0 0 2, 20.00, 100
1 0 2, 39.83, 83
1 0 4, 54.05, 50
1 0 0, 34.08, 35
1 1 0, 61.00, 24
1 1 2, 64.88, 20
1 0 6, 73.41, 15
1 0 1, 35.59, 13
2 0 4, 85.88, 11
2 0 2, 75.35, 11

Crystal structure
Cell lengths 3.0381, 3.0381, 8.8785 Å; angles 90.00, 90.00, 120.00 degrees
Space group P6_3/mmc (No. 194)
Inequivalent atoms, fractional coordinates:
1 Co 0.0000 0.0000 0.0000 [2 per cell]
2 H 0.3333 0.6667 0.2500 [2 per cell]
3 O 0.3333 0.6667 0.1136 [4 per cell]

---

Entry 5:
Theoretical powder diffraction line list
Compound: CoHO2
Radiation: CuKα
Structure: a cell relaxed with GGA+U
Intensities are scaled so that the largest is 100.

Main lines, by intensity (15 to 90 degrees two-theta):
h k l, 2θ (°), I_rel
0 0 1, 20.08, 100
1 1 -1, 38.28, 48
2 0 0, 35.03, 36
1 1 -2, 50.52, 30
2 0 1, 46.23, 19
3 1 -1, 60.72, 16
1 1 2, 59.80, 14
1 1 1, 44.06, 11
1 1 0, 35.65, 11
3 1 -2, 66.03, 7

Crystal structure
Cell lengths 5.4006, 2.8924, 4.6601 Å; angles 90.00, 108.43, 90.00 degrees
Space group C2/m (No. 12)
Inequivalent atoms, fractional coordinates:
1 Co 0.0000 0.0000 0.0000 [2 per cell]
2 H 0.0000 0.5000 0.5000 [2 per cell]
3 O 0.0817 0.5000 0.7736 [4 per cell]